# 1
# LaGa2CuNi2
Computed powder diffraction line list, Cu Kα. Input: a crystal structure in Alexandria, relaxed with PBE.
Lines closer than 0.1° are merged.

Largest 8 diffraction maxima, by angle, 2θ = 10–90°:
28.22°, I = 47
32.79°, I = 48
38.86°, I = 100
40.34°, I = 84
57.25°, I = 63
58.37°, I = 27
83.41°, I = 19
86.25°, I = 19

a b c (Å): 4.472 4.472 5.419
angles (deg): 90.00 90.00 90.00
Atoms (fractional coordinates):
La1 0.000 0.000 0.000
Ga1 0.500 0.500 0.256
Ga2 0.500 0.500 0.744
Cu1 0.000 0.000 0.500
Ni1 0.000 0.500 0.500
Ni2 0.500 0.000 0.500



# 2
# Li2SmCl4
Computed powder diffraction line list, Cu Kα. Input: a crystal structure in Alexandria, relaxed with PBE.
Lines closer than 0.1° are merged.

Largest 8 diffraction maxima, by angle, 2θ = 10–90°:
13.47°, I = 100
15.57°, I = 39
25.96°, I = 21
28.47°, I = 50
31.45°, I = 29
33.56°, I = 50
36.33°, I = 20
46.65°, I = 38

a b c (Å): 7.831 7.831 7.831
angles (deg): 125.81 118.08 86.80
Atoms (fractional coordinates):
Li1 0.000 0.000 0.000
Li2 0.378 0.628 0.750
Li3 0.500 0.000 0.500
Li4 0.622 0.372 0.250
Sm1 0.000 0.000 0.500
Sm2 0.000 0.500 0.000
Cl1 0.243 0.234 0.490
Cl2 0.243 0.753 0.010
Cl3 0.254 0.232 0.022
Cl4 0.290 0.768 0.522
Cl5 0.710 0.232 0.478
Cl6 0.746 0.768 0.978
Cl7 0.757 0.247 0.990
Cl8 0.757 0.766 0.510



# 3
# Ho4Mg2O
Computed powder diffraction line list, Cu Kα. Input: a crystal structure in Alexandria, relaxed with PBE.
Lines closer than 0.1° are merged.

Largest 8 diffraction maxima, by angle, 2θ = 10–90°:
11.15°, I = 48
19.50°, I = 34
25.19°, I = 44
28.85°, I = 92
33.90°, I = 38
34.99°, I = 100
37.86°, I = 60
51.72°, I = 44

a b c (Å): 4.753 4.753 15.869
angles (deg): 90.00 90.00 90.00
Atoms (fractional coordinates):
Ho1 0.000 0.000 0.156
Ho2 0.000 0.000 0.844
Ho3 0.000 0.500 0.000
Ho4 0.000 0.500 0.500
Ho5 0.500 0.000 0.000
Ho6 0.500 0.000 0.500
Ho7 0.500 0.500 0.344
Ho8 0.500 0.500 0.656
Mg1 0.000 0.000 0.362
Mg2 0.000 0.000 0.638
Mg3 0.500 0.500 0.138
Mg4 0.500 0.500 0.862
O1 0.000 0.000 0.000
O2 0.500 0.500 0.500